Entry 1:
Structure and theoretical PXRD pattern of La2Bi2O7 (a DFT-relaxed cell (PBE, Alexandria); Cu Kα, 1.54184 Å).
Kinematic intensities with the Lorentz-polarization factor, no thermal factor.

Most intense lines, 5° ≤ 2θ ≤ 70°, low angle first:
d = 3.559 Å, 2θ = 25.02°, I 51, (0 0 4); d = 3.245 Å, 2θ = 27.49°, I 100, (2 1 -2); d = 3.178 Å, 2θ = 28.08°, I 51, (2 1 1); d = 3.063 Å, 2θ = 29.16°, I 92, (0 1 4); d = 3.007 Å, 2θ = 29.71°, I 99, (0 2 0); d = 2.970 Å, 2θ = 30.09°, I 97, (2 1 -3); d = 2.886 Å, 2θ = 30.99°, I 80, (2 1 2); d = 2.071 Å, 2θ = 43.72°, I 76, (4 0 -1)

Structural model:
a b c (Å): 8.2935 6.0146 14.4779
angles (deg): 90.00 100.49 90.00
Space group P2_1 (No. 4)
Asymmetric unit:
La 0.1362 0.0000 0.0623 x2
La 0.2643 0.4438 0.4353 x2
La 0.2782 0.9278 0.6177 x2
La 0.3444 0.4617 0.8907 x2
Bi 0.0206 0.4333 0.6175 x2
Bi 0.0663 0.9442 0.8157 x2
Bi 0.4253 0.4619 0.1741 x2
Bi 0.4561 0.9536 0.3460 x2
O 0.0217 0.5855 0.3195 x2
O 0.0720 0.2249 0.9121 x2
O 0.0738 0.7043 0.5158 x2
O 0.1137 0.6486 0.7428 x2
O 0.1404 0.7274 0.9384 x2
O 0.1804 0.3282 0.1652 x2
O 0.2307 0.0551 0.4163 x2
O 0.2930 0.3144 0.5967 x2
O 0.3170 0.0938 0.8068 x2
O 0.3731 0.7940 0.1311 x2
O 0.4234 0.2813 0.0464 x2
O 0.4271 0.5460 0.3192 x2
O 0.4451 0.6773 0.7587 x2
O 0.4469 0.7010 0.5403 x2

=====

Entry 2:
Structure and theoretical PXRD pattern of La2Bi4O9 (a DFT-relaxed cell (PBE, Alexandria); Cu Kα, 1.54184 Å).
Kinematic intensities with the Lorentz-polarization factor, no thermal factor.

Most intense lines, 5° ≤ 2θ ≤ 70°, low angle first:
d = 3.391 Å, 2θ = 26.28°, I 61, (1 1 1); d = 3.126 Å, 2θ = 28.55°, I 100, (3 1 -1); d = 3.094 Å, 2θ = 28.86°, I 46, (2 0 2); d = 3.038 Å, 2θ = 29.40°, I 73, (6 0 0); d = 2.943 Å, 2θ = 30.37°, I 68, (3 1 1); d = 2.018 Å, 2θ = 44.92°, I 55, (1 1 -3); d = 1.687 Å, 2θ = 54.38°, I 49, (6 2 0); d = 1.673 Å, 2θ = 54.89°, I 38, (5 1 3)

Structural model:
a b c (Å): 18.4026 4.0535 6.9798
angles (deg): 90.00 97.91 90.00
Space group C2 (No. 5)
Asymmetric unit:
La 0.2433 0.0000 0.2500 x4
Bi 0.0776 0.5297 0.3724 x4
Bi 0.0854 0.9971 0.8431 x4
O 0.0000 0.9355 0.5000 x2
O 0.1000 0.9626 0.1810 x4
O 0.1068 0.5032 0.7078 x4
O 0.1969 0.5028 0.4092 x4
O 0.2029 0.0035 0.8884 x4

=====

Entry 3:
Structure and theoretical PXRD pattern of La4Bi2O9 (a DFT-relaxed cell (PBE, Alexandria); Cu Kα, 1.54184 Å).
Kinematic intensities with the Lorentz-polarization factor, no thermal factor.

Most intense lines, 5° ≤ 2θ ≤ 70°, low angle first:
d = 4.181 Å, 2θ = 21.25°, I 35, (1 1 1); d = 3.529 Å, 2θ = 25.23°, I 67, (1 1 2); d = 3.439 Å, 2θ = 25.91°, I 87, (1 -1 1); d = 3.365 Å, 2θ = 26.49°, I 100, (1 1 -1); d = 3.230 Å, 2θ = 27.61°, I 98, (-1 1 2); d = 2.939 Å, 2θ = 30.41°, I 89, (0 2 1); d = 2.918 Å, 2θ = 30.64°, I 31, (2 0 0); d = 2.092 Å, 2θ = 43.25°, I 42, (0 2 -2)

Structural model:
a b c (Å): 5.8626 5.8858 9.2988
angles (deg): 72.12 84.62 87.15
Space group P1 (No. 1)
Asymmetric unit:
La 0.0000 0.0000 0.0000 x1
La 0.0160 0.3656 0.2741 x1
La 0.0560 0.6887 0.6385 x1
La 0.5656 0.5230 0.9815 x1
Bi 0.4650 0.9032 0.2533 x1
Bi 0.6364 0.2467 0.6772 x1
O 0.1822 0.9896 0.4227 x1
O 0.2707 0.6888 0.1365 x1
O 0.2921 0.1976 0.0950 x1
O 0.3892 0.5214 0.7400 x1
O 0.7627 0.1842 0.1583 x1
O 0.7704 0.6890 0.1324 x1
O 0.8359 0.3512 0.8260 x1
O 0.8410 0.8838 0.7926 x1
O 0.8715 0.4563 0.5020 x1

=====

> Which formula does entry 1 have?

La2Bi2O7